1.
For Pr2O3, a structure optimized by DFT (PBE) gives the computed powder diffractogram in this record (Cu Kα (λ = 1.5418 Å)).
Lines closer than 0.1° are merged.

Structural model:
Cell lengths 14.6665, 3.7427, 9.1381 Å; angles 90.00, 100.17, 90.00 degrees
Space group C2/m (No. 12)
Asymmetric unit:
1 Pr 0.0333 0.0000 0.3118
2 Pr 0.1344 0.5000 0.9900
3 Pr 0.1908 0.5000 0.6381
4 O 0.0000 0.5000 0.5000
5 O 0.0261 0.5000 0.1559
6 O 0.1292 0.0000 0.7858
7 O 0.1755 0.0000 0.4737
8 O 0.2017 0.0000 0.1270

Largest 10 diffraction maxima, in order of falling intensity, 10° ≤ 2θ ≤ 90°:
2θ (°), d [Å], I_rel
31.00, 2.884, 100
28.86, 3.094, 93
28.22, 3.162, 88
30.25, 2.954, 88
26.94, 3.310, 86
45.37, 1.999, 62
29.80, 2.998, 56
40.48, 2.229, 54
51.53, 1.774, 48
48.65, 1.872, 37

2.
For SrSnP2O8, a structure optimized by DFT (PBE) gives the computed powder diffractogram in this record (Cu Kα (λ = 1.5418 Å)).
Lines closer than 0.1° are merged.

Structural model:
Cell lengths 5.6934, 7.0486, 9.2874 Å; angles 110.70, 100.56, 98.08 degrees
Space group P-1 (No. 2)
Asymmetric unit:
1 Sr 0.2436 0.2632 0.0307
2 Sn 0.3280 0.6759 0.4505
3 P 0.1606 0.4661 0.6982
4 P 0.3931 0.9304 0.2277
5 O 0.0130 0.2460 0.5738
6 O 0.0437 0.4025 0.3028
7 O 0.1742 0.9383 0.1095
8 O 0.2842 0.4914 0.8642
9 O 0.3468 0.7099 0.2434
10 O 0.3661 0.0251 0.8130
11 O 0.3787 0.5368 0.6227
12 O 0.3980 0.0919 0.3999

Largest 10 diffraction maxima, in order of falling intensity, 10° ≤ 2θ ≤ 90°:
2θ (°), d [Å], I_rel
27.60, 3.232, 100
29.63, 3.015, 83
22.25, 3.995, 63
20.98, 4.235, 46
20.40, 4.353, 41
31.20, 2.867, 37
13.77, 6.430, 34
33.16, 2.701, 34
17.00, 5.215, 33
32.02, 2.795, 33

3.
For KGaSb4, a structure optimized by DFT (PBE) gives the computed powder diffractogram in this record (Cu Kα (λ = 1.5418 Å)).
Lines closer than 0.1° are merged.

Structural model:
Cell lengths 10.5707, 4.2753, 18.2124 Å; angles 90.00, 90.00, 90.00 degrees
Space group Pnma (No. 62)
Asymmetric unit:
1 K 0.1784 0.2500 0.0655
2 Ga 0.1827 0.7500 0.3691
3 Sb 0.0335 0.2500 0.5503
4 Sb 0.0710 0.7500 0.7510
5 Sb 0.1112 0.7500 0.2267
6 Sb 0.1693 0.7500 0.8979

Largest 10 diffraction maxima, in order of falling intensity, 10° ≤ 2θ ≤ 90°:
2θ (°), d [Å], I_rel
28.59, 3.122, 100
25.80, 3.454, 96
30.66, 2.916, 95
26.82, 3.324, 82
29.88, 2.990, 67
12.83, 6.899, 58
42.28, 2.138, 58
24.49, 3.634, 51
29.43, 3.035, 46
48.46, 1.878, 41

4.
For Bi4B2O9, a structure optimized by DFT (PBE) gives the computed powder diffractogram in this record (Cu Kα (λ = 1.5418 Å)).
Lines closer than 0.1° are merged.

Structural model:
Cell lengths 11.2756, 6.6577, 11.2158 Å; angles 90.00, 90.31, 90.00 degrees
Space group P2_1/c (No. 14)
Asymmetric unit:
1 Bi 0.0028 0.0760 0.1591
2 Bi 0.1558 0.5625 0.0198
3 Bi 0.3040 0.0481 0.9903
4 Bi 0.4915 0.0176 0.3473
5 B 0.2517 0.2364 0.7661
6 B 0.2760 0.7452 0.2446
7 O 0.0013 0.5974 0.8911
8 O 0.1145 0.6011 0.5055
9 O 0.1616 0.6782 0.2205
10 O 0.1774 0.2289 0.8661
11 O 0.2109 0.1861 0.1592
12 O 0.3128 0.7097 0.8595
13 O 0.3537 0.7381 0.6479
14 O 0.3656 0.1649 0.7829
15 O 0.4209 0.1586 0.5133

Largest 10 diffraction maxima, in order of falling intensity, 10° ≤ 2θ ≤ 90°:
2θ (°), d [Å], I_rel
28.43, 3.140, 100
28.54, 3.128, 20
26.78, 3.329, 18
22.42, 3.965, 17
35.18, 2.551, 14
29.09, 3.070, 14
15.78, 5.616, 13
49.24, 1.851, 12
35.84, 2.505, 10
48.32, 1.883, 9

> What is the formula in the second record?

SrSnP2O8